The following is a theoretical X-ray powder pattern of ScTlSnCl6. It was derived from a crystal structure in Alexandria, relaxed with PBE, using Cu Kα, 1.54184 Å.
No peak broadening, texture or thermal motion is included.

Structural model:
Unit cell a=7.0885 b=7.0885 c=6.8018 alpha=90.00 beta=90.00 gamma=120.00
Space group P312 (No. 149)
Symmetry-distinct sites (fractional):
Sc1 0.0000 0.0000 0.0000
Tl1 0.3333 0.6667 0.5000
Sn1 0.6667 0.3333 0.0000
Cl1 0.2976 0.0183 0.2150

The 12 most intense peaks (2θ from 5° to 70°), low angle first:
| 2θ/deg | d [Å] | I_rel | index |
| --- | --- | --- | --- |
| 19.48 | 4.557 | 100 | 1 0 1 |
| 25.13 | 3.544 | 22 | 1 1 0 |
| 28.40 | 3.143 | 15 | 1 1 1 |
| 30.04 | 2.975 | 11 | 1 0 2 |
| 31.99 | 2.798 | 27 | 2 0 1 |
| 36.62 | 2.454 | 50 | 2 -1 2 |
| 41.10 | 2.196 | 32 | 3 -1 1 |
| 42.50 | 2.127 | 12 | 1 0 3 |
| 44.26 | 2.046 | 19 | 3 0 0 |
| 55.65 | 1.652 | 13 | 3 1 1 |
| 56.77 | 1.622 | 12 | 2 1 3 |
| 58.75 | 1.572 | 11 | 2 2 2 |

***

The following is a theoretical X-ray powder pattern of Sr4ScCl. It was derived from a crystal structure in Alexandria, relaxed with PBE, using Cu Kα, 1.54184 Å.
No peak broadening, texture or thermal motion is included.

Structural model:
Unit cell a=10.609 b=10.609 c=10.609 alpha=90.00 beta=90.00 gamma=90.00
Space group F-43m (No. 216)
Symmetry-distinct sites (fractional):
Sr1 0.124 0.124 0.376
Sc1 0.250 0.250 0.750
Cl1 0.000 0.000 0.000

The 12 most intense peaks (2θ from 5° to 70°), low angle first:
| 2θ/deg | d [Å] | I_rel | index |
| --- | --- | --- | --- |
| 14.46 | 6.125 | 39 | 1 1 1 |
| 23.72 | 3.751 | 10 | 2 2 0 |
| 27.89 | 3.199 | 100 | 3 1 1 |
| 29.16 | 3.062 | 67 | 2 2 2 |
| 33.80 | 2.652 | 20 | 4 0 0 |
| 36.93 | 2.434 | 12 | 3 3 1 |
| 44.37 | 2.042 | 36 | 3 3 3 |
| 48.55 | 1.875 | 36 | 4 4 0 |
| 50.92 | 1.793 | 10 | 5 3 1 |
| 56.92 | 1.618 | 13 | 5 3 3 |
| 57.64 | 1.599 | 29 | 6 2 2 |
| 67.86 | 1.381 | 22 | 7 3 1 |

***

The following is a theoretical X-ray powder pattern of TbScCl3. It was derived from a crystal structure in Alexandria, relaxed with PBE, using Cu Kα, 1.54184 Å.
No peak broadening, texture or thermal motion is included.

Structural model:
Unit cell a=17.074 b=3.657 c=10.699 alpha=90.00 beta=123.64 gamma=90.00
Space group C2/m (No. 12)
Symmetry-distinct sites (fractional):
Tb1 0.137 0.000 0.286
Sc1 0.071 0.500 0.958
Cl1 0.035 0.000 0.756
Cl2 0.166 0.500 0.509
Cl3 0.204 0.000 0.110

The 12 most intense peaks (2θ from 5° to 70°), low angle first:
| 2θ/deg | d [Å] | I_rel | index |
| --- | --- | --- | --- |
| 10.80 | 8.193 | 100 | 2 0 -1 |
| 19.83 | 4.477 | 11 | 2 0 1 |
| 25.10 | 3.548 | 19 | 4 0 0 |
| 25.75 | 3.459 | 11 | 1 1 -1 |
| 28.37 | 3.146 | 23 | 1 1 1 |
| 29.99 | 2.980 | 25 | 1 1 -2 |
| 33.32 | 2.689 | 15 | 6 0 -1 |
| 33.63 | 2.665 | 10 | 4 0 -4 |
| 34.46 | 2.603 | 13 | 1 1 2 |
| 35.22 | 2.548 | 10 | 3 1 -3 |
| 45.03 | 2.013 | 20 | 7 1 -3 |
| 45.81 | 1.981 | 12 | 5 1 1 |

***

The following is a theoretical X-ray powder pattern of Sc3Tl2Cl10. It was derived from a crystal structure in Alexandria, relaxed with PBE, using Cu Kα, 1.54184 Å.
No peak broadening, texture or thermal motion is included.

Structural model:
Unit cell a=24.001 b=7.354 c=10.061 alpha=90.00 beta=111.68 gamma=90.00
Space group C2/m (No. 12)
Symmetry-distinct sites (fractional):
Sc1 0.000 0.249 0.000
Sc2 0.077 0.000 0.479
Sc3 0.181 0.000 0.025
Tl1 0.131 0.500 0.712
Tl2 0.233 0.500 0.349
Cl1 0.000 0.228 0.500
Cl2 0.017 0.500 0.181
Cl3 0.020 0.000 0.197
Cl4 0.111 0.248 0.039
Cl5 0.130 0.000 0.751
Cl6 0.144 0.244 0.467
Cl7 0.236 0.000 0.283
Cl8 0.250 0.250 0.000

The 12 most intense peaks (2θ from 5° to 70°), low angle first:
| 2θ/deg | d [Å] | I_rel | index |
| --- | --- | --- | --- |
| 7.93 | 11.152 | 38 | 2 0 0 |
| 14.44 | 6.135 | 32 | 2 0 1 |
| 21.56 | 4.122 | 100 | 3 1 1 |
| 21.97 | 4.046 | 77 | 3 1 -2 |
| 22.23 | 3.999 | 56 | 6 0 -1 |
| 29.85 | 2.994 | 30 | 6 0 -3 |
| 30.94 | 2.890 | 58 | 0 2 2 |
| 32.11 | 2.788 | 30 | 8 0 0 |
| 32.56 | 2.750 | 38 | 2 0 3 |
| 33.10 | 2.707 | 90 | 6 2 -1 |
| 41.01 | 2.201 | 38 | 2 2 3 |
| 50.40 | 1.810 | 36 | 8 2 2 |